Starting from the PBE geometry in Alexandria, the powder X-ray diffraction pattern of CePrZn6 was calculated for λ = 1.5418 Å (Cu Kα).
Peak positions follow from Bragg's law for the DFT cell and can differ from measured ones.

Principal peaks in the range 5° ≤ 2θ ≤ 70°, low angle first:
- d 3.495, rel. 18.5, hkl 1 1 1
- d 3.446, rel. 9.5, hkl 1 0 2
- d 2.851, rel. 19.0, hkl 0 2 2
- d 2.748, rel. 18.3, hkl 0 0 4
- d 2.396, rel. 100.0, hkl 1 2 2
- d 2.334, rel. 39.4, hkl 1 0 4
- d 2.212, rel. 28.1, hkl 2 0 0
- d 1.747, rel. 12.7, hkl 2 2 2
- d 1.723, rel. 8.9, hkl 2 0 4
- d 1.606, rel. 14.9, hkl 0 2 6

Cell and atoms:
abc: 4.4232 6.6701 10.9922
angles: 90.00 90.00 90.00
Fractional coordinates of all 16 atoms:
Ce 0.0000 0.0000 0.0000
Ce 0.0000 0.5000 0.5000
Pr 0.5000 0.0000 0.3116
Pr 0.5000 0.5000 0.8116
Zn 0.0000 0.0000 0.5078
Zn 0.0000 0.2018 0.7321
Zn 0.0000 0.2982 0.2321
Zn 0.0000 0.5000 0.0078
Zn 0.0000 0.7018 0.2321
Zn 0.0000 0.7982 0.7321
Zn 0.5000 0.0000 0.8102
Zn 0.5000 0.2082 0.5769
Zn 0.5000 0.2918 0.0769
Zn 0.5000 0.5000 0.3102
Zn 0.5000 0.7082 0.0769
Zn 0.5000 0.7918 0.5769